Record 1
Calculated powder XRD pattern
Compound: Na2Tl2CdHg4
Radiation: Cu Kα
Structure: a crystal structure in Alexandria, relaxed with GGA-PBE

Largest 10 diffraction maxima, in order of rising 2θ, 2θ from 5° to 70°:
(hkl)	2θ (°)	d [Å]	I_rel
0 0 2	17.00	5.217	19
1 1 2	24.66	3.611	38
2 0 2	30.54	2.927	100
0 0 4	34.38	2.609	29
2 2 0	35.91	2.501	44
3 0 1	39.17	2.300	14
2 2 4	50.56	1.805	33
2 0 6	59.19	1.561	19
4 2 2	61.24	1.514	18
4 0 4	63.56	1.464	13

Crystal structure
```
data_Na2Tl2CdHg4
_space_group_name_H-M_alt 'I 4/m m m'
_space_group_IT_number 139
_space_group_name_Hall '-I 4 2'
_cell_length_a 7.074
_cell_length_b 7.074
_cell_length_c 10.434
_cell_angle_alpha 90.00
_cell_angle_beta 90.00
_cell_angle_gamma 90.00
loop_
_atom_site_label
_atom_site_type_symbol
_atom_site_fract_x
_atom_site_fract_y
_atom_site_fract_z
Na1 Na 0.000 0.000 0.217
Tl1 Tl 0.000 0.500 0.250
Cd1 Cd 0.000 0.000 0.500
Hg1 Hg 0.218 0.218 0.000
```


Record 2
Calculated powder XRD pattern
Compound: Cs2Se5
Radiation: Cu Kα
Structure: a crystal structure in Alexandria, relaxed with GGA-PBE

Largest 10 diffraction maxima, in order of rising 2θ, 2θ from 5° to 70°:
(hkl)	2θ (°)	d [Å]	I_rel
1 1 1	17.70	5.011	27
1 1 3	21.39	4.154	23
0 2 1	24.20	3.678	78
0 2 2	25.31	3.519	40
0 0 6	25.50	3.493	54
2 0 3	28.03	3.183	100
1 2 2	28.26	3.158	50
1 1 6	30.90	2.894	21
1 2 5	34.52	2.598	19
3 1 8	53.39	1.716	20

Crystal structure
```
data_Cs2Se5
_space_group_name_H-M_alt 'P 21 21 21'
_space_group_IT_number 19
_space_group_name_Hall 'P 2ac 2ab'
_cell_length_a 7.152
_cell_length_b 7.471
_cell_length_c 20.959
_cell_angle_alpha 90.00
_cell_angle_beta 90.00
_cell_angle_gamma 90.00
loop_
_atom_site_label
_atom_site_type_symbol
_atom_site_fract_x
_atom_site_fract_y
_atom_site_fract_z
Cs1 Cs 0.091 0.194 0.182
Cs2 Cs 0.119 0.428 0.504
Se1 Se 0.048 0.723 0.815
Se2 Se 0.071 0.430 0.862
Se3 Se 0.078 0.686 0.150
Se4 Se 0.096 0.921 0.542
Se5 Se 0.231 0.088 0.370
```


Record 3
Calculated powder XRD pattern
Compound: KNaMgBr4
Radiation: Cu Kα
Structure: a crystal structure in Alexandria, relaxed with GGA-PBE

Largest 10 diffraction maxima, in order of rising 2θ, 2θ from 5° to 70°:
(hkl)	2θ (°)	d [Å]	I_rel
2 0 0	25.15	3.541	27
1 2 0	26.58	3.354	100
1 0 2	27.30	3.267	27
2 0 -2	27.79	3.211	37
1 1 2	29.77	3.001	38
2 1 -2	30.21	2.959	32
0 2 2	31.49	2.841	29
1 2 -2	31.64	2.828	29
1 0 -4	40.56	2.224	21
3 2 0	45.21	2.006	32

Crystal structure
```
data_KNaMgBr4
_space_group_name_H-M_alt 'P 1 21/m 1'
_space_group_IT_number 11
_space_group_name_Hall '-P 2yb'
_cell_length_a 7.388
_cell_length_b 7.616
_cell_length_c 8.898
_cell_angle_alpha 90.00
_cell_angle_beta 106.55
_cell_angle_gamma 90.00
loop_
_atom_site_label
_atom_site_type_symbol
_atom_site_fract_x
_atom_site_fract_y
_atom_site_fract_z
K1 K 0.236 0.250 0.053
Na1 Na 0.216 0.250 0.557
Mg1 Mg 0.251 0.750 0.326
Br1 Br 0.014 0.502 0.274
Br2 Br 0.448 0.750 0.141
Br3 Br 0.470 0.750 0.596
```


Record 4
Calculated powder XRD pattern
Compound: La3PmPa2N6
Radiation: Cu Kα
Structure: a crystal structure in Alexandria, relaxed with GGA-PBE

Largest 10 diffraction maxima, in order of rising 2θ, 2θ from 5° to 70°:
(hkl)	2θ (°)	d [Å]	I_rel
0 0 1	14.75	6.005	9
0 0 2	29.76	3.002	36
2 0 0	30.28	2.952	100
1 3 1	34.95	2.567	94
2 0 2	49.92	1.827	33
0 6 0	50.60	1.804	33
1 3 3	59.20	1.561	17
3 3 1	59.81	1.546	32
2 6 0	60.11	1.539	15
4 0 0	62.97	1.476	17

Crystal structure
```
data_La3PmPa2N6
_space_group_name_H-M_alt 'C 1 2/m 1'
_space_group_IT_number 12
_space_group_name_Hall '-C 2y'
_cell_length_a 6.249
_cell_length_b 10.825
_cell_length_c 6.356
_cell_angle_alpha 90.00
_cell_angle_beta 109.12
_cell_angle_gamma 90.00
loop_
_atom_site_label
_atom_site_type_symbol
_atom_site_fract_x
_atom_site_fract_y
_atom_site_fract_z
La1 La 0.000 0.000 0.000
La2 La 0.000 0.335 0.000
Pm1 Pm 0.000 0.500 0.500
Pa1 Pa 0.000 0.167 0.500
N1 N 0.214 0.000 0.709
N2 N 0.249 0.322 0.712
```


Record 5
Calculated powder XRD pattern
Compound: TaTl
Radiation: Cu Kα
Structure: a crystal structure in Alexandria, relaxed with GGA-PBE

Largest 10 diffraction maxima, in order of rising 2θ, 2θ from 5° to 70°:
(hkl)	2θ (°)	d [Å]	I_rel
4 0 0	32.64	2.743	62
2 0 -2	35.21	2.549	57
1 1 1	36.41	2.468	100
3 1 -1	39.31	2.292	79
2 0 2	43.85	2.065	26
6 0 -2	53.35	1.717	13
5 1 1	58.67	1.574	15
0 2 0	60.13	1.539	13
1 1 -3	61.97	1.497	22
5 1 -3	67.87	1.381	16

Crystal structure
```
data_TaTl
_space_group_name_H-M_alt 'C 1 2/m 1'
_space_group_IT_number 12
_space_group_name_Hall '-C 2y'
_cell_length_a 11.415
_cell_length_b 3.078
_cell_length_c 5.185
_cell_angle_alpha 90.00
_cell_angle_beta 106.00
_cell_angle_gamma 90.00
loop_
_atom_site_label
_atom_site_type_symbol
_atom_site_fract_x
_atom_site_fract_y
_atom_site_fract_z
Ta1 Ta 0.151 0.000 0.395
Tl1 Tl 0.112 0.500 0.865
```


Record 6
Calculated powder XRD pattern
Compound: CaLaNi2P2
Radiation: Cu Kα
Structure: a crystal structure in Alexandria, relaxed with GGA-PBE

Largest 10 diffraction maxima, in order of rising 2θ, 2θ from 5° to 70°:
(hkl)	2θ (°)	d [Å]	I_rel
0 0 1	10.73	8.248	26
1 0 0	26.03	3.423	9
1 0 1	28.22	3.162	27
1 0 2	34.04	2.634	100
0 1 3	42.16	2.144	9
0 0 4	43.91	2.062	14
1 1 0	45.92	1.976	38
1 1 1	47.29	1.922	5
0 2 2	58.37	1.581	20
1 1 4	65.41	1.427	25

Crystal structure
```
data_CaLaNi2P2
_space_group_name_H-M_alt 'P -3 m 1'
_space_group_IT_number 164
_space_group_name_Hall '-P 3 2"'
_cell_length_a 3.9529
_cell_length_b 3.9529
_cell_length_c 8.2476
_cell_angle_alpha 90.00
_cell_angle_beta 90.00
_cell_angle_gamma 120.00
loop_
_atom_site_label
_atom_site_type_symbol
_atom_site_fract_x
_atom_site_fract_y
_atom_site_fract_z
Ca1 Ca 0.0000 0.0000 0.0000
La1 La 0.0000 0.0000 0.5000
Ni1 Ni 0.3333 0.6667 0.2484
P1 P 0.3333 0.6667 0.7537
```


Record 7
Calculated powder XRD pattern
Compound: NaHfGe
Radiation: Cu Kα
Structure: a crystal structure in Alexandria, relaxed with GGA-PBE

Largest 10 diffraction maxima, in order of rising 2θ, 2θ from 5° to 70°:
(hkl)	2θ (°)	d [Å]	I_rel
0 0 3	10.37	8.529	100
1 0 1	23.31	3.816	28
0 1 2	24.09	3.695	41
0 1 5	28.98	3.081	23
1 0 7	33.77	2.654	61
1 1 0	40.48	2.228	56
1 1 3	41.90	2.156	22
1 0 10	42.39	2.132	38
0 2 7	53.71	1.706	17
0 2 10	60.05	1.541	21

Crystal structure
```
data_NaHfGe
_space_group_name_H-M_alt 'R -3 m'
_space_group_IT_number 166
_space_group_name_Hall '-R 3 2"'
_cell_length_a 4.4566
_cell_length_b 4.4566
_cell_length_c 25.5856
_cell_angle_alpha 90.00
_cell_angle_beta 90.00
_cell_angle_gamma 120.00
loop_
_atom_site_label
_atom_site_type_symbol
_atom_site_fract_x
_atom_site_fract_y
_atom_site_fract_z
Na1 Na 0.0000 0.0000 0.1307
Hf1 Hf 0.0000 0.0000 0.2950
Ge1 Ge 0.0000 0.0000 0.4063
```


Record 8
Calculated powder XRD pattern
Compound: TaTi2Pd6
Radiation: Cu Kα
Structure: a crystal structure in Alexandria, relaxed with GGA-PBE

Largest 10 diffraction maxima, in order of rising 2θ, 2θ from 5° to 70°:
(hkl)	2θ (°)	d [Å]	I_rel
2 0 0	18.86	4.704	41
2 0 1	23.97	3.712	32
1 1 2	35.31	2.542	25
3 1 1	36.26	2.477	41
4 0 1	41.18	2.192	100
0 2 2	44.88	2.020	24
0 0 3	45.01	2.014	18
2 2 2	49.09	1.856	40
2 0 -3	49.21	1.852	14
6 2 0	69.18	1.358	22

Crystal structure
```
data_TaTi2Pd6
_space_group_name_H-M_alt 'C 1 2/m 1'
_space_group_IT_number 12
_space_group_name_Hall '-C 2y'
_cell_length_a 9.410
_cell_length_b 5.432
_cell_length_c 6.042
_cell_angle_alpha 90.00
_cell_angle_beta 90.12
_cell_angle_gamma 90.00
loop_
_atom_site_label
_atom_site_type_symbol
_atom_site_fract_x
_atom_site_fract_y
_atom_site_fract_z
Ta1 Ta 0.000 0.000 0.000
Ti1 Ti 0.167 0.500 0.110
Pd1 Pd 0.086 0.259 0.687
Pd2 Pd 0.173 0.000 0.314
```


Record 9
Calculated powder XRD pattern
Compound: ZnCrBr4
Radiation: Cu Kα
Structure: a crystal structure in Alexandria, relaxed with GGA-PBE

Largest 10 diffraction maxima, in order of rising 2θ, 2θ from 5° to 70°:
(hkl)	2θ (°)	d [Å]	I_rel
0 0 1	12.81	6.913	100
1 1 -1	29.37	3.042	89
1 1 1	30.17	2.962	22
2 0 1	31.09	2.877	43
1 1 -2	36.83	2.440	61
2 0 2	39.22	2.297	23
2 0 -3	46.75	1.943	18
0 2 0	46.89	1.938	19
3 1 0	47.99	1.896	35
1 1 3	48.81	1.866	39

Crystal structure
```
data_ZnCrBr4
_space_group_name_H-M_alt 'P 1 2/m 1'
_space_group_IT_number 10
_space_group_name_Hall '-P 2y'
_cell_length_a 6.535
_cell_length_b 3.875
_cell_length_c 6.928
_cell_angle_alpha 90.00
_cell_angle_beta 93.78
_cell_angle_gamma 90.00
loop_
_atom_site_label
_atom_site_type_symbol
_atom_site_fract_x
_atom_site_fract_y
_atom_site_fract_z
Zn1 Zn 0.000 0.000 0.000
Cr1 Cr 0.500 0.500 0.000
Br1 Br 0.160 0.500 0.787
Br2 Br 0.338 0.000 0.215
```


Record 10
Calculated powder XRD pattern
Compound: InSn2H2Pt7
Radiation: Cu Kα
Structure: a crystal structure in Alexandria, relaxed with GGA-PBE

Largest 10 diffraction maxima, in order of rising 2θ, 2θ from 5° to 70°:
(hkl)	2θ (°)	d [Å]	I_rel
0 0 1	7.74	11.424	13
0 0 2	15.51	5.712	6
2 0 0	32.51	2.754	16
2 0 -3	35.31	2.542	53
0 0 5	39.44	2.285	27
2 0 2	39.60	2.276	100
2 2 -1	45.18	2.007	51
2 2 -6	61.50	1.508	29
0 4 0	65.81	1.419	17
2 2 5	67.85	1.381	6

Crystal structure
```
data_InSn2H2Pt7
_space_group_name_H-M_alt 'C 1 2/m 1'
_space_group_IT_number 12
_space_group_name_Hall '-C 2y'
_cell_length_a 5.677
_cell_length_b 5.676
_cell_length_c 11.767
_cell_angle_alpha 90.00
_cell_angle_beta 103.88
_cell_angle_gamma 90.00
loop_
_atom_site_label
_atom_site_type_symbol
_atom_site_fract_x
_atom_site_fract_y
_atom_site_fract_z
In1 In 0.000 0.000 0.000
Sn1 Sn 0.199 0.000 0.399
H1 H 0.133 0.500 0.163
Pt1 Pt 0.000 0.500 0.000
Pt2 Pt 0.159 0.253 0.812
Pt3 Pt 0.181 0.500 0.365
```


Record 11
Calculated powder XRD pattern
Compound: Pm2SBr2
Radiation: Cu Kα
Structure: a crystal structure in Alexandria, relaxed with GGA-PBE

Largest 10 diffraction maxima, in order of rising 2θ, 2θ from 5° to 70°:
(hkl)	2θ (°)	d [Å]	I_rel
0 0 3	8.37	10.569	88
0 0 6	16.78	5.284	14
1 0 1	25.27	3.524	25
0 1 5	28.84	3.095	100
1 0 7	32.05	2.792	35
0 1 8	33.92	2.643	75
1 1 0	44.23	2.048	51
1 0 13	45.11	2.010	52
2 0 5	53.67	1.708	17
2 0 8	56.89	1.619	29

Crystal structure
```
data_Pm2SBr2
_space_group_name_H-M_alt 'R -3 m'
_space_group_IT_number 166
_space_group_name_Hall '-R 3 2"'
_cell_length_a 4.0952
_cell_length_b 4.0952
_cell_length_c 31.7055
_cell_angle_alpha 90.00
_cell_angle_beta 90.00
_cell_angle_gamma 120.00
loop_
_atom_site_label
_atom_site_type_symbol
_atom_site_fract_x
_atom_site_fract_y
_atom_site_fract_z
Pm1 Pm 0.0000 0.0000 0.1196
S1 S 0.0000 0.0000 0.5000
Br1 Br 0.0000 0.0000 0.2730
```


Record 12
Calculated powder XRD pattern
Compound: La5Mg2
Radiation: Cu Kα
Structure: a crystal structure in Alexandria, relaxed with GGA-PBE

Largest 10 diffraction maxima, in order of rising 2θ, 2θ from 5° to 70°:
(hkl)	2θ (°)	d [Å]	I_rel
1 1 0	23.32	3.814	25
4 0 -1	28.11	3.175	18
4 0 1	30.42	2.939	47
2 0 -3	30.93	2.891	49
1 1 2	31.11	2.875	100
3 1 -1	31.28	2.860	96
0 2 0	45.45	1.996	18
5 1 3	54.35	1.688	20
1 1 -5	55.02	1.669	19
2 2 -3	55.99	1.642	18

Crystal structure
```
data_La5Mg2
_space_group_name_H-M_alt 'C 1 2/m 1'
_space_group_IT_number 12
_space_group_name_Hall '-C 2y'
_cell_length_a 13.043
_cell_length_b 3.991
_cell_length_c 9.190
_cell_angle_alpha 90.00
_cell_angle_beta 97.03
_cell_angle_gamma 90.00
loop_
_atom_site_label
_atom_site_type_symbol
_atom_site_fract_x
_atom_site_fract_y
_atom_site_fract_z
La1 La 0.000 0.000 0.000
La2 La 0.131 0.000 0.446
La3 La 0.235 0.500 0.161
Mg1 Mg 0.059 0.500 0.720
```


What did the third record say?
Calculated powder XRD pattern
Compound: KNaMgBr4
Radiation: Cu Kα
Structure: a crystal structure in Alexandria, relaxed with GGA-PBE

Largest 10 diffraction maxima, in order of rising 2θ, 2θ from 5° to 70°:
(hkl)	2θ (°)	d [Å]	I_rel
2 0 0	25.15	3.541	27
1 2 0	26.58	3.354	100
1 0 2	27.30	3.267	27
2 0 -2	27.79	3.211	37
1 1 2	29.77	3.001	38
2 1 -2	30.21	2.959	32
0 2 2	31.49	2.841	29
1 2 -2	31.64	2.828	29
1 0 -4	40.56	2.224	21
3 2 0	45.21	2.006	32

Crystal structure
```
data_KNaMgBr4
_space_group_name_H-M_alt 'P 1 21/m 1'
_space_group_IT_number 11
_space_group_name_Hall '-P 2yb'
_cell_length_a 7.388
_cell_length_b 7.616
_cell_length_c 8.898
_cell_angle_alpha 90.00
_cell_angle_beta 106.55
_cell_angle_gamma 90.00
loop_
_atom_site_label
_atom_site_type_symbol
_atom_site_fract_x
_atom_site_fract_y
_atom_site_fract_z
K1 K 0.236 0.250 0.053
Na1 Na 0.216 0.250 0.557
Mg1 Mg 0.251 0.750 0.326
Br1 Br 0.014 0.502 0.274
Br2 Br 0.448 0.750 0.141
Br3 Br 0.470 0.750 0.596
```


Which formula does entry 4 have?
La3PmPa2N6


What is the formula in the first record?
Na2Tl2CdHg4